1.
Diffraction record for Sr2In13. The powder X-ray diffraction pattern is theoretical, not measured: it uses DFT lattice parameters and positions (GGA-PBE) and Cu Kα, 1.54184 Å.

Structural model:
abc: 8.8798 8.8798 21.0734
angles: 90.00 90.00 120.00
Space group R-3m (No. 166, hexagonal axes)
Asymmetric unit:
Sr (0.0000, 0.0000, 0.2432)
In (0.0000, 0.0000, 0.5000)
In (0.0766, 0.5383, 0.2960)
In (0.1003, 0.5502, 0.5637)

Most intense lines, 2θ = 15–90°, by angle:
23.52 deg, intensity 76, hkl 0 2 1; 31.92 deg, intensity 32, hkl 1 0 7; 35.27 deg, intensity 100, hkl 2 1 4; 36.04 deg, intensity 39, hkl 0 1 8; 37.34 deg, intensity 88, hkl 0 3 3; 37.96 deg, intensity 27, hkl 0 2 7; 42.61 deg, intensity 19, hkl 1 3 1; 57.63 deg, intensity 24, hkl 1 2 11; 62.79 deg, intensity 22, hkl 3 3 0; 63.46 deg, intensity 24, hkl 2 3 8


2.
Diffraction record for Ac2Pd9Au. The powder X-ray diffraction pattern is theoretical, not measured: it uses DFT lattice parameters and positions (GGA-PBE) and Cu Kα, 1.54184 Å.

Structural model:
abc: 4.2846 4.2846 12.2529
angles: 90.00 90.00 90.00
Space group P4/mmm (No. 123)
Asymmetric unit:
Ac (0.0000, 0.0000, 0.1786)
Pd (0.0000, 0.5000, 0.0000)
Pd (0.0000, 0.5000, 0.3504)
Pd (0.5000, 0.5000, 0.1738)
Pd (0.5000, 0.5000, 0.5000)
Au (0.0000, 0.0000, 0.5000)

Most intense lines, 2θ = 15–90°, by angle:
20.73 deg, intensity 8, hkl 1 0 0; 30.23 deg, intensity 6, hkl 1 0 3; 36.94 deg, intensity 100, hkl 1 1 3; 42.18 deg, intensity 36, hkl 2 0 0; 44.36 deg, intensity 13, hkl 0 0 6; 61.18 deg, intensity 12, hkl 2 2 0; 62.87 deg, intensity 18, hkl 2 0 6; 73.66 deg, intensity 26, hkl 3 1 3; 76.75 deg, intensity 8, hkl 1 1 9; 78.64 deg, intensity 10, hkl 2 2 6


3.
Diffraction record for Ac5Nd2Mg. The powder X-ray diffraction pattern is theoretical, not measured: it uses DFT lattice parameters and positions (GGA-PBE) and Cu Kα, 1.54184 Å.

Structural model:
abc: 7.7139 10.6589 7.7287
angles: 90.00 90.00 90.00
Space group Imm2 (No. 44)
Asymmetric unit:
Ac (0.0000, 0.0000, 0.0000)
Ac (0.2499, 0.2491, 0.2518)
Nd (0.0000, 0.0000, 0.5021)
Nd (0.0000, 0.5000, 0.0040)
Mg (0.0000, 0.5000, 0.4999)

Most intense lines, 2θ = 15–90°, by angle:
28.55 deg, intensity 100, hkl 2 2 0; 32.81 deg, intensity 35, hkl 2 0 2; 33.63 deg, intensity 16, hkl 0 4 0; 47.08 deg, intensity 13, hkl 4 0 0; 47.69 deg, intensity 25, hkl 2 4 2; 55.99 deg, intensity 32, hkl 4 2 2; 57.07 deg, intensity 15, hkl 2 6 0; 59.10 deg, intensity 13, hkl 4 4 0; 77.02 deg, intensity 12, hkl 4 6 2; 78.78 deg, intensity 6, hkl 4 4 4


4.
Diffraction record for TbNdSmZn. The powder X-ray diffraction pattern is theoretical, not measured: it uses DFT lattice parameters and positions (GGA-PBE) and Cu Kα, 1.54184 Å.

Structural model:
abc: 3.6292 3.6292 8.7628
angles: 90.00 90.00 90.00
Space group P4mm (No. 99)
Asymmetric unit:
Tb (0.0000, 0.0000, 0.0000)
Nd (0.5000, 0.5000, 0.7073)
Sm (0.0000, 0.0000, 0.4084)
Zn (0.5000, 0.5000, 0.1970)

Most intense lines, 2θ = 15–90°, by angle:
26.58 deg, intensity 18, hkl 1 0 1; 30.61 deg, intensity 12, hkl 0 0 3; 32.02 deg, intensity 100, hkl 1 0 2; 34.96 deg, intensity 48, hkl 1 1 0; 47.14 deg, intensity 14, hkl 1 1 3; 50.28 deg, intensity 17, hkl 2 0 0; 55.12 deg, intensity 11, hkl 1 1 4; 58.48 deg, intensity 12, hkl 1 0 5; 60.87 deg, intensity 31, hkl 2 1 2; 80.69 deg, intensity 9, hkl 2 1 5


5.
Diffraction record for CePm4Tm5. The powder X-ray diffraction pattern is theoretical, not measured: it uses DFT lattice parameters and positions (GGA-PBE) and Cu Kα, 1.54184 Å.

Structural model:
abc: 10.5528 10.5528 5.8829
angles: 90.00 90.00 90.00
Space group I4mm (No. 107)
Asymmetric unit:
Ce (0.0000, 0.0000, 0.0000)
Pm (0.0000, 0.3238, 0.7525)
Tm (0.0000, 0.0000, 0.5307)
Tm (0.1867, 0.1867, 0.2569)

Most intense lines, 2θ = 15–90°, by angle:
29.59 deg, intensity 100, hkl 3 0 1; 30.39 deg, intensity 14, hkl 0 0 2; 32.73 deg, intensity 11, hkl 1 1 2; 34.92 deg, intensity 18, hkl 2 0 2; 36.11 deg, intensity 41, hkl 3 3 0; 47.89 deg, intensity 13, hkl 3 3 2; 51.99 deg, intensity 13, hkl 6 0 0; 53.50 deg, intensity 16, hkl 3 0 3; 60.02 deg, intensity 11, hkl 5 3 2; 60.97 deg, intensity 19, hkl 6 3 1


6.
Diffraction record for Zr3U5As8. The powder X-ray diffraction pattern is theoretical, not measured: it uses DFT lattice parameters and positions (GGA-PBE) and Cu Kα, 1.54184 Å.

Structural model:
abc: 7.9524 7.9524 19.8060
angles: 90.00 90.00 120.00
Space group R-3m (No. 166, hexagonal axes)
Asymmetric unit:
Zr (0.0000, 0.5000, 0.0000)
U (0.0000, 0.0000, 0.0000)
U (0.0000, 0.0000, 0.5000)
U (0.0000, 0.5000, 0.5000)
As (0.0000, 0.0000, 0.2538)
As (0.0062, 0.5031, 0.2533)

Most intense lines, 2θ = 15–90°, by angle:
27.01 deg, intensity 8, hkl 0 0 6; 27.42 deg, intensity 22, hkl 2 0 2; 31.65 deg, intensity 100, hkl 0 2 4; 45.10 deg, intensity 38, hkl 2 0 8; 45.63 deg, intensity 37, hkl 2 2 0; 56.60 deg, intensity 19, hkl 4 0 4; 66.10 deg, intensity 12, hkl 0 4 8; 74.76 deg, intensity 17, hkl 2 2 12; 75.53 deg, intensity 17, hkl 2 4 4; 84.01 deg, intensity 13, hkl 4 2 8


7.
Diffraction record for Li2Y3Ag5. The powder X-ray diffraction pattern is theoretical, not measured: it uses DFT lattice parameters and positions (GGA-PBE) and Cu Kα, 1.54184 Å.

Structural model:
abc: 10.3001 10.3001 3.9133
angles: 90.00 90.00 90.00
Space group P4/mbm (No. 127)
Asymmetric unit:
Li (0.1160, 0.3840, 0.0000)
Y (0.0000, 0.0000, 0.0000)
Y (0.1798, 0.6798, 0.0000)
Ag (0.0000, 0.5000, 0.5000)
Ag (0.0615, 0.2175, 0.5000)

Most intense lines, 2θ = 15–90°, by angle:
22.72 deg, intensity 13, hkl 0 0 1; 29.96 deg, intensity 38, hkl 2 1 1; 33.62 deg, intensity 29, hkl 2 2 1; 34.84 deg, intensity 11, hkl 4 0 0; 35.90 deg, intensity 100, hkl 4 1 0; 39.07 deg, intensity 38, hkl 4 2 0; 46.41 deg, intensity 17, hkl 0 0 2; 60.06 deg, intensity 17, hkl 4 1 2; 62.42 deg, intensity 11, hkl 5 4 1; 68.76 deg, intensity 13, hkl 7 1 1


8.
Diffraction record for Rb3Bi4Pb4. The powder X-ray diffraction pattern is theoretical, not measured: it uses DFT lattice parameters and positions (GGA-PBE) and Cu Kα, 1.54184 Å.

Structural model:
abc: 5.0771 5.6394 33.5743
angles: 90.00 90.00 90.00
Space group Immm (No. 71)
Asymmetric unit:
Rb (0.0000, 0.0000, 0.0000)
Rb (0.0000, 0.5000, 0.3568)
Bi (0.0000, 0.0000, 0.2468)
Bi (0.0000, 0.5000, 0.0990)
Pb (0.0000, 0.0000, 0.4535)
Pb (0.0000, 0.5000, 0.1962)

Most intense lines, 2θ = 15–90°, by angle:
15.92 deg, intensity 72, hkl 0 1 1; 24.36 deg, intensity 35, hkl 0 1 7; 25.89 deg, intensity 100, hkl 1 1 4; 29.72 deg, intensity 27, hkl 1 0 9; 31.73 deg, intensity 49, hkl 0 2 0; 34.28 deg, intensity 28, hkl 1 0 11; 35.36 deg, intensity 37, hkl 2 0 0; 35.80 deg, intensity 75, hkl 1 1 10; 48.24 deg, intensity 31, hkl 2 2 0; 53.11 deg, intensity 30, hkl 2 1 13